(1)
Starting from the PBE geometry in Alexandria, the XRD peak list of Li2Co3Ni8 was computed for CuKα.
No peak broadening, texture or thermal motion is included.

Cell and atoms:
```
Li2Co3Ni8
1.0
4.4890 -4.0986 0.0000
4.4890 4.0986 0.0000
-1.7821 0.0000 3.9196
Li Co Ni
2 3 8
Direct
0.2079 0.2079 0.3591
0.7921 0.7921 0.6409
0.2503 0.7497 0.0000
0.5000 0.5000 0.5000
0.7497 0.2503 0.0000
0.0640 0.0640 0.7930
0.0860 0.5827 0.3305
0.3503 0.3503 0.9256
0.4173 0.9140 0.6695
0.5827 0.0860 0.3305
0.6497 0.6497 0.0744
0.9140 0.4173 0.6695
0.9360 0.9360 0.2070
```

Largest 10 diffraction maxima, by angle, 10° ≤ 2θ ≤ 90°:
2theta	I/Imax
37.8	21.9
42.1	20.5
44.0	41.2
44.2	84.1
46.4	100.0
47.8	25.2
49.3	18.7
54.9	12.3
62.7	11.5
82.9	16.0

***

(2)
Starting from the PBE geometry in Alexandria, the XRD peak list of PuTlAgI6 was computed for CuKα.
No peak broadening, texture or thermal motion is included.

Cell and atoms:
```
PuTlAgI6
1.0
7.7801 0.0000 0.0000
-3.8901 6.7378 0.0000
0.0000 0.0000 15.2156
Pu Tl Ag I
2 2 2 12
Direct
0.3333 0.6667 0.2500
0.6667 0.3333 0.7500
0.0000 0.0000 0.0000
0.0000 0.0000 0.5000
0.3333 0.6667 0.7500
0.6667 0.3333 0.2500
0.0033 0.3618 0.1355
0.0033 0.6415 0.3645
0.3585 0.3618 0.3645
0.3585 0.9967 0.1355
0.3618 0.0033 0.6355
0.3618 0.3585 0.8645
0.6382 0.6415 0.1355
0.6382 0.9967 0.3645
0.6415 0.0033 0.8645
0.6415 0.6382 0.6355
0.9967 0.3585 0.6355
0.9967 0.6382 0.8645
```

Largest 10 diffraction maxima, by angle, 10° ≤ 2θ ≤ 90°:
2theta	I/Imax
17.6	80.0
25.7	92.1
29.0	20.5
32.9	100.0
37.2	28.8
40.2	52.9
42.6	24.7
52.9	23.9
64.2	22.6
68.4	21.4

***

(3)
Starting from the PBE geometry in Alexandria, the XRD peak list of PrBi2Pb was computed for CuKα.
No peak broadening, texture or thermal motion is included.

Cell and atoms:
```
PrBi2Pb
1.0
4.3409 0.0000 0.0000
0.0000 4.3409 0.0000
0.0000 0.0000 6.7833
Pr Bi Pb
1 2 1
Direct
0.0000 0.0000 0.0000
0.5000 0.5000 0.2392
0.5000 0.5000 0.7608
0.0000 0.0000 0.5000
```

Largest 10 diffraction maxima, by angle, 10° ≤ 2θ ≤ 90°:
2theta	I/Imax
29.1	72.7
33.5	100.0
41.6	28.3
54.5	51.7
60.3	9.7
62.6	16.6
68.3	13.4
70.5	11.8
70.8	12.0
85.6	15.2

***

(4)
Starting from the PBE geometry in Alexandria, the XRD peak list of ErOsW was computed for CuKα.
No peak broadening, texture or thermal motion is included.

Cell and atoms:
```
ErOsW
1.0
2.2567 -8.1002 0.0000
2.2567 8.1002 0.0000
0.0000 0.0000 3.1702
Er Os W
2 2 2
Direct
0.1002 0.8998 0.7500
0.8998 0.1002 0.2500
0.4336 0.5664 0.7500
0.5664 0.4336 0.2500
0.2808 0.7192 0.7500
0.7192 0.2808 0.2500
```

Largest 10 diffraction maxima, by angle, 10° ≤ 2θ ≤ 90°:
2theta	I/Imax
33.2	29.5
34.1	21.8
35.0	100.0
38.5	21.0
39.9	40.4
44.0	51.3
44.8	30.5
52.9	16.0
61.0	23.5
72.9	14.0

***

(5)
Starting from the PBE geometry in Alexandria, the XRD peak list of Ba2NaGe was computed for CuKα.
No peak broadening, texture or thermal motion is included.

Cell and atoms:
```
Ba2NaGe
1.0
2.4038 1.3879 10.1151
-2.4038 1.3879 10.1151
0.0000 -2.7757 10.1151
Ba Na Ge
2 1 1
Direct
0.0000 0.0000 0.0000
0.2146 0.2146 0.2146
0.4432 0.4432 0.4432
0.6066 0.6066 0.6066
```

Largest 10 diffraction maxima, by angle, 10° ≤ 2θ ≤ 90°:
2theta	I/Imax
21.5	18.9
22.1	19.3
24.4	31.0
26.0	100.0
31.9	27.1
36.6	30.0
37.4	42.5
44.5	17.7
46.1	20.7
60.8	18.0

***

(6)
Starting from the PBE geometry in Alexandria, the XRD peak list of V4Cr3Fe was computed for CuKα.
No peak broadening, texture or thermal motion is included.

Cell and atoms:
```
V4Cr3Fe
1.0
4.1005 0.0000 0.0000
0.0000 4.1005 0.0000
0.0000 0.0000 5.7811
V Cr Fe
4 3 1
Direct
0.0000 0.5000 0.2500
0.0000 0.5000 0.7500
0.5000 0.0000 0.2500
0.5000 0.0000 0.7500
0.0000 0.0000 0.0000
0.0000 0.0000 0.5000
0.5000 0.5000 0.0000
0.5000 0.5000 0.5000
```

Largest 5 diffraction maxima, by angle, 10° ≤ 2θ ≤ 90°:
2theta	I/Imax
44.2	100.0
64.2	9.7
64.5	4.8
81.3	18.6
81.5	9.2

***

(7)
Starting from the PBE geometry in Alexandria, the XRD peak list of Sm5Dy3 was computed for CuKα.
No peak broadening, texture or thermal motion is included.

Cell and atoms:
```
Sm5Dy3
1.0
5.0766 0.0000 0.0000
0.0000 5.0871 0.0000
0.0000 0.0000 10.1714
Sm Dy
5 3
Direct
0.0000 0.0000 0.0000
0.0000 0.0000 0.5000
0.0000 0.5000 0.2488
0.0000 0.5000 0.7512
0.5000 0.5000 0.5000
0.5000 0.0000 0.2487
0.5000 0.0000 0.7513
0.5000 0.5000 0.0000
```

Largest 10 diffraction maxima, by angle, 10° ≤ 2θ ≤ 90°:
2theta	I/Imax
30.5	100.0
35.3	50.6
50.8	36.2
60.4	28.7
60.5	14.3
63.4	12.4
74.6	3.8
82.8	17.7
85.4	11.0
85.5	5.5

***

(8)
Starting from the PBE geometry in Alexandria, the XRD peak list of Y3SnPt12 was computed for CuKα.
No peak broadening, texture or thermal motion is included.

Cell and atoms:
```
Y3SnPt12
1.0
4.1183 0.0000 0.0000
0.0000 4.1183 0.0000
0.0000 0.0000 16.3759
Y Sn Pt
3 1 12
Direct
0.0000 0.0000 0.0000
0.0000 0.0000 0.2508
0.0000 0.0000 0.7492
0.0000 0.0000 0.5000
0.0000 0.5000 0.1260
0.0000 0.5000 0.3791
0.0000 0.5000 0.6209
0.0000 0.5000 0.8740
0.5000 0.0000 0.1260
0.5000 0.0000 0.3791
0.5000 0.0000 0.6209
0.5000 0.0000 0.8740
0.5000 0.5000 0.0000
0.5000 0.5000 0.2537
0.5000 0.5000 0.5000
0.5000 0.5000 0.7463
```

Largest 10 diffraction maxima, by angle, 10° ≤ 2θ ≤ 90°:
2theta	I/Imax
21.6	3.8
30.8	4.9
37.9	100.0
44.0	33.3
44.2	16.1
63.9	11.1
64.2	21.5
76.8	26.1
77.2	12.5
81.0	11.3

***

(9)
Starting from the PBE geometry in Alexandria, the XRD peak list of NpAgO6 was computed for CuKα.
No peak broadening, texture or thermal motion is included.

Cell and atoms:
```
NpAgO6
1.0
2.7684 -4.5628 0.0000
2.7684 4.5628 0.0000
-1.9592 0.0000 5.1755
Np Ag O
1 1 6
Direct
0.0000 0.0000 0.0000
0.5000 0.5000 0.5000
0.1126 0.3926 0.2511
0.2004 0.2004 0.7982
0.3926 0.1126 0.2511
0.6074 0.8874 0.7489
0.7996 0.7996 0.2018
0.8874 0.6074 0.7489
```

Largest 10 diffraction maxima, by angle, 10° ≤ 2θ ≤ 90°:
2theta	I/Imax
19.5	67.7
19.7	15.3
21.8	100.0
30.0	39.0
39.5	23.1
40.0	35.2
41.3	27.6
50.5	16.7
53.5	19.4
58.5	25.0

***

(10)
Starting from the PBE geometry in Alexandria, the XRD peak list of Y2VH2 was computed for CuKα.
No peak broadening, texture or thermal motion is included.

Cell and atoms:
```
Y2VH2
1.0
-1.8352 1.8352 6.2488
1.8352 -1.8352 6.2488
1.8352 1.8352 -6.2488
Y V H
2 1 2
Direct
0.1473 0.1473 0.0000
0.8527 0.8527 0.0000
0.5000 0.5000 0.0000
0.2500 0.7500 0.5000
0.7500 0.2500 0.5000
```

Largest 10 diffraction maxima, by angle, 10° ≤ 2θ ≤ 90°:
2theta	I/Imax
25.3	13.6
32.5	100.0
34.6	45.7
43.4	7.5
45.4	9.0
49.7	16.4
56.7	13.8
60.6	30.9
68.1	7.5
72.9	8.0

***

(11)
Starting from the PBE geometry in Alexandria, the XRD peak list of HfMg14Nb was computed for CuKα.
No peak broadening, texture or thermal motion is included.

Cell and atoms:
```
HfMg14Nb
1.0
6.3649 0.0000 0.0000
-3.1824 5.5121 0.0000
0.0000 0.0000 10.0252
Hf Mg Nb
1 14 1
Direct
0.0000 0.0000 0.0000
0.0001 0.5001 0.5000
0.0063 0.5032 0.0000
0.1609 0.3218 0.2547
0.1609 0.3218 0.7453
0.1609 0.8391 0.2547
0.1609 0.8391 0.7453
0.4968 0.5032 0.0000
0.4968 0.9937 0.0000
0.4999 0.9999 0.5000
0.4999 0.5001 0.5000
0.6667 0.3333 0.2449
0.6667 0.3333 0.7551
0.6782 0.8391 0.2547
0.6782 0.8391 0.7453
0.0000 0.0000 0.5000
```

Largest 10 diffraction maxima, by angle, 10° ≤ 2θ ≤ 90°:
2theta	I/Imax
16.1	65.1
24.0	45.6
32.5	31.8
33.3	20.9
35.8	23.8
37.2	100.0
47.2	17.9
49.1	19.6
65.3	18.3
70.0	18.8

***

Copy entry 3 word for word.
Starting from the PBE geometry in Alexandria, the XRD peak list of PrBi2Pb was computed for CuKα.
No peak broadening, texture or thermal motion is included.

Cell and atoms:
```
PrBi2Pb
1.0
4.3409 0.0000 0.0000
0.0000 4.3409 0.0000
0.0000 0.0000 6.7833
Pr Bi Pb
1 2 1
Direct
0.0000 0.0000 0.0000
0.5000 0.5000 0.2392
0.5000 0.5000 0.7608
0.0000 0.0000 0.5000
```

Largest 10 diffraction maxima, by angle, 10° ≤ 2θ ≤ 90°:
2theta	I/Imax
29.1	72.7
33.5	100.0
41.6	28.3
54.5	51.7
60.3	9.7
62.6	16.6
68.3	13.4
70.5	11.8
70.8	12.0
85.6	15.2